# 1
Tl12Hg3Sb: simulated XRD peak list (Cu Ka), based on a cell relaxed with PBE.
No peak broadening, texture or thermal motion is included.

Lattice parameters (Å, degrees): 4.9026 4.9026 20.0159 90.00 90.00 90.00
Fractional positions:
Tl (0.0000, 0.0000, 0.0000)
Tl (0.0000, 0.0000, 0.2494)
Tl (0.0000, 0.0000, 0.5000)
Tl (0.0000, 0.0000, 0.7506)
Tl (0.0000, 0.5000, 0.1229)
Tl (0.0000, 0.5000, 0.3777)
Tl (0.0000, 0.5000, 0.6223)
Tl (0.0000, 0.5000, 0.8771)
Tl (0.5000, 0.0000, 0.1229)
Tl (0.5000, 0.0000, 0.3777)
Tl (0.5000, 0.0000, 0.6223)
Tl (0.5000, 0.0000, 0.8771)
Hg (0.5000, 0.5000, 0.0000)
Hg (0.5000, 0.5000, 0.2441)
Hg (0.5000, 0.5000, 0.7559)
Sb (0.5000, 0.5000, 0.5000)

Most intense lines, 2θ from 10° to 90°, by angle:
- 2θ = 31.39°, d 2.850, rel. 100
- 2θ = 35.89°, d 2.502, rel. 17
- 2θ = 36.66°, d 2.451, rel. 33
- 2θ = 52.24°, d 1.751, rel. 24
- 2θ = 52.82°, d 1.733, rel. 12
- 2θ = 61.71°, d 1.503, rel. 14
- 2θ = 62.74°, d 1.481, rel. 28
- 2θ = 65.51°, d 1.425, rel. 12
- 2θ = 85.51°, d 1.136, rel. 12
- 2θ = 86.42°, d 1.126, rel. 6

=====

# 2
Ca3FeC2N6: simulated XRD peak list (Cu Ka), based on a cell relaxed with PBE.
No peak broadening, texture or thermal motion is included.

Lattice parameters (Å, degrees): 5.1966 5.1966 6.0386 90.00 90.00 120.00
Fractional positions:
Ca (0.0000, 0.0000, 0.0000)
Ca (0.3333, 0.6667, 0.7010)
Ca (0.6667, 0.3333, 0.2990)
Fe (0.0000, 0.0000, 0.5000)
C (0.3333, 0.6667, 0.2896)
C (0.6667, 0.3333, 0.7104)
N (0.1814, 0.3629, 0.2862)
N (0.1814, 0.8186, 0.2862)
N (0.3629, 0.1814, 0.7138)
N (0.6371, 0.8186, 0.2862)
N (0.8186, 0.1814, 0.7138)
N (0.8186, 0.6371, 0.7138)

Most intense lines, 2θ from 10° to 90°, by angle:
- 2θ = 14.67°, d 6.039, rel. 38
- 2θ = 19.73°, d 4.500, rel. 32
- 2θ = 34.52°, d 2.598, rel. 91
- 2θ = 35.81°, d 2.507, rel. 100
- 2θ = 42.89°, d 2.109, rel. 38
- 2θ = 50.59°, d 1.804, rel. 58
- 2θ = 61.85°, d 1.500, rel. 24
- 2θ = 62.69°, d 1.482, rel. 26
- 2θ = 72.80°, d 1.299, rel. 20
- 2θ = 83.88°, d 1.153, rel. 14

=====

# 3
PmHoSe3: simulated XRD peak list (Cu Ka), based on a cell relaxed with PBE.
No peak broadening, texture or thermal motion is included.

Lattice parameters (Å, degrees): 7.7154 4.1195 16.0707 90.00 90.00 90.00
Fractional positions:
Pm (0.1402, 0.2500, 0.2013)
Pm (0.3598, 0.7500, 0.7013)
Pm (0.6402, 0.2500, 0.2987)
Pm (0.8598, 0.7500, 0.7987)
Ho (0.2294, 0.7500, 0.4575)
Ho (0.2706, 0.2500, 0.9575)
Ho (0.7294, 0.7500, 0.0425)
Ho (0.7706, 0.2500, 0.5425)
Se (0.0087, 0.2500, 0.3941)
Se (0.1217, 0.7500, 0.0632)
Se (0.1516, 0.2500, 0.7844)
Se (0.3484, 0.7500, 0.2844)
Se (0.3783, 0.2500, 0.5632)
Se (0.4913, 0.7500, 0.8941)
Se (0.5087, 0.2500, 0.1059)
Se (0.6217, 0.7500, 0.4368)
Se (0.6516, 0.2500, 0.7156)
Se (0.8484, 0.7500, 0.2156)
Se (0.8783, 0.2500, 0.9368)
Se (0.9913, 0.7500, 0.6059)

Most intense lines, 2θ from 10° to 90°, by angle:
- 2θ = 24.99°, d 3.563, rel. 30
- 2θ = 25.12°, d 3.544, rel. 62
- 2θ = 30.12°, d 2.967, rel. 30
- 2θ = 33.73°, d 2.657, rel. 100
- 2θ = 35.41°, d 2.535, rel. 51
- 2θ = 36.03°, d 2.492, rel. 35
- 2θ = 37.35°, d 2.408, rel. 55
- 2θ = 41.77°, d 2.163, rel. 32
- 2θ = 43.96°, d 2.060, rel. 47
- 2θ = 67.07°, d 1.395, rel. 28

=====

# 4
MgH2Ir6: simulated XRD peak list (Cu Ka), based on a cell relaxed with PBE.
No peak broadening, texture or thermal motion is included.

Lattice parameters (Å, degrees): 5.2219 5.2219 5.4377 105.44 105.44 54.90
Fractional positions:
Mg (0.0000, 0.0000, 0.0000)
H (0.1780, 0.1104, 0.5634)
H (0.8896, 0.8220, 0.4366)
Ir (0.4369, 0.0683, 0.8790)
Ir (0.4514, 0.0706, 0.3765)
Ir (0.4875, 0.5111, 0.7498)
Ir (0.4889, 0.5125, 0.2502)
Ir (0.9294, 0.5486, 0.6235)
Ir (0.9317, 0.5631, 0.1210)

Most intense lines, 2θ from 10° to 90°, by angle:
- 2θ = 20.09°, d 4.421, rel. 35
- 2θ = 21.01°, d 4.228, rel. 66
- 2θ = 38.01°, d 2.367, rel. 62
- 2θ = 40.83°, d 2.210, rel. 61
- 2θ = 42.77°, d 2.114, rel. 100
- 2θ = 43.24°, d 2.092, rel. 73
- 2θ = 43.47°, d 2.082, rel. 73
- 2θ = 56.82°, d 1.620, rel. 19
- 2θ = 57.19°, d 1.611, rel. 19
- 2θ = 67.81°, d 1.382, rel. 26

=====

# 5
NaSn2PbS4: simulated XRD peak list (Cu Ka), based on a cell relaxed with PBE.
No peak broadening, texture or thermal motion is included.

Lattice parameters (Å, degrees): 7.0673 5.8399 6.9842 66.19 49.11 64.70
Fractional positions:
Na (0.0000, 0.0000, 0.0000)
Sn (0.2341, 0.2341, 0.2659)
Sn (0.7341, 0.7341, 0.7659)
Pb (0.4972, 0.4972, 0.5028)
S (0.0024, 0.5036, 0.9976)
S (0.2670, 0.7760, 0.2240)
S (0.5036, 0.0024, 0.4964)
S (0.7760, 0.2670, 0.7330)

Most intense lines, 2θ from 10° to 90°, by angle:
- 2θ = 17.08°, d 5.192, rel. 69
- 2θ = 26.39°, d 3.378, rel. 46
- 2θ = 27.00°, d 3.303, rel. 42
- 2θ = 28.07°, d 3.178, rel. 24
- 2θ = 30.64°, d 2.918, rel. 100
- 2θ = 31.48°, d 2.842, rel. 47
- 2θ = 43.08°, d 2.100, rel. 18
- 2θ = 44.50°, d 2.036, rel. 71
- 2θ = 54.32°, d 1.689, rel. 18
- 2θ = 55.66°, d 1.651, rel. 19

=====

# 6
Li5ClF4: simulated XRD peak list (Cu Ka), based on a cell relaxed with PBE.
No peak broadening, texture or thermal motion is included.

Lattice parameters (Å, degrees): 12.5028 12.5028 12.5028 14.15 14.15 14.15
Fractional positions:
Li (0.0000, 0.0000, 0.0000)
Li (0.2099, 0.2099, 0.2099)
Li (0.3949, 0.3949, 0.3949)
Li (0.6051, 0.6051, 0.6051)
Li (0.7901, 0.7901, 0.7901)
Cl (0.5000, 0.5000, 0.5000)
F (0.0924, 0.0924, 0.0924)
F (0.3025, 0.3025, 0.3025)
F (0.6975, 0.6975, 0.6975)
F (0.9076, 0.9076, 0.9076)

Most intense lines, 2θ from 10° to 90°, by angle:
- 2θ = 28.86°, d 3.094, rel. 7
- 2θ = 35.78°, d 2.510, rel. 72
- 2θ = 36.29°, d 2.475, rel. 21
- 2θ = 37.76°, d 2.383, rel. 9
- 2θ = 41.70°, d 2.166, rel. 100
- 2θ = 54.29°, d 1.690, rel. 7
- 2θ = 60.09°, d 1.540, rel. 31
- 2θ = 60.80°, d 1.524, rel. 19
- 2θ = 72.27°, d 1.307, rel. 9
- 2θ = 75.81°, d 1.255, rel. 12